# 1
# PrIn6Ni3
Simulated X-ray powder pattern, Cu Kα (weighted mean of Kα1 and Kα2). Input: a crystal structure in OQMD, relaxed with PBE.
Neutral-atom scattering factors, no anomalous dispersion.

Largest 10 diffraction maxima, by angle, 10° ≤ 2θ ≤ 80°:
2theta	I (rel.)
31.94	1000
32.22	747
35.89	608
37.77	280
38.77	163
41.20	533
41.69	463
57.12	152
62.17	203
64.77	145

Crystal structure
Cell: 4.382 7.637 12.191 Å, 90.00 90.00 90.00°
Atoms (fractional coordinates):
Pr 0.250 0.250 0.178
Pr 0.750 0.750 0.822
In 0.250 0.050 0.916
In 0.250 0.250 0.488
In 0.250 0.450 0.916
In 0.250 0.544 0.662
In 0.250 0.750 0.249
In 0.250 0.956 0.662
In 0.750 0.044 0.338
In 0.750 0.250 0.751
In 0.750 0.456 0.338
In 0.750 0.550 0.084
In 0.750 0.750 0.512
In 0.750 0.950 0.084
Ni 0.250 0.576 0.434
Ni 0.250 0.750 0.034
Ni 0.250 0.924 0.434
Ni 0.750 0.076 0.566
Ni 0.750 0.250 0.966
Ni 0.750 0.424 0.566

# 2
# Pr4In8Ni7
Simulated X-ray powder pattern, Cu Kα (weighted mean of Kα1 and Kα2). Input: a crystal structure in OQMD, relaxed with PBE.
Neutral-atom scattering factors, no anomalous dispersion.

Largest 10 diffraction maxima, by angle, 10° ≤ 2θ ≤ 80°:
2theta	I (rel.)
30.12	225
32.54	328
33.07	1000
35.11	153
36.58	201
36.95	151
41.23	442
41.37	158
56.27	170
63.63	163

Crystal structure
Cell: 14.168 14.168 4.379 Å, 90.00 90.00 117.31°
Atoms (fractional coordinates):
Pr 0.106 0.894 0.000
Pr 0.152 0.505 0.500
Pr 0.316 0.316 0.500
Pr 0.495 0.848 0.500
Pr 0.505 0.152 0.500
Pr 0.684 0.684 0.500
Pr 0.848 0.495 0.500
Pr 0.894 0.106 0.000
In 0.000 0.000 0.500
In 0.058 0.625 0.000
In 0.131 0.319 0.000
In 0.222 0.778 0.500
In 0.311 0.689 0.000
In 0.319 0.131 0.000
In 0.375 0.942 0.000
In 0.413 0.587 0.500
In 0.500 0.500 0.000
In 0.587 0.413 0.500
In 0.625 0.058 0.000
In 0.681 0.869 0.000
In 0.689 0.311 0.000
In 0.778 0.222 0.500
In 0.869 0.681 0.000
In 0.942 0.375 0.000
Ni 0.016 0.708 0.500
Ni 0.090 0.199 0.500
Ni 0.122 0.122 0.000
Ni 0.199 0.090 0.500
Ni 0.292 0.984 0.500
Ni 0.309 0.499 0.000
Ni 0.499 0.309 0.000
Ni 0.501 0.691 0.000
Ni 0.691 0.501 0.000
Ni 0.708 0.016 0.500
Ni 0.801 0.910 0.500
Ni 0.878 0.878 0.000
Ni 0.910 0.801 0.500
Ni 0.984 0.292 0.500

# 3
# PrInNiPt
Simulated X-ray powder pattern, Cu Kα (weighted mean of Kα1 and Kα2). Input: a crystal structure in OQMD, relaxed with PBE.
Neutral-atom scattering factors, no anomalous dispersion.

Largest 10 diffraction maxima, by angle, 10° ≤ 2θ ≤ 80°:
2theta	I (rel.)
19.27	97
22.46	261
29.76	252
37.05	1000
39.43	890
55.21	316
65.16	152
69.94	309
71.50	151
78.91	99

Crystal structure
Cell: 4.571 4.571 9.214 Å, 90.00 90.00 120.00°
Atoms (fractional coordinates):
Pr 0.000 0.000 0.000
Pr 0.333 0.667 0.500
In 0.667 0.333 0.262
In 0.667 0.333 0.738
Ni 0.000 0.000 0.332
Ni 0.000 0.000 0.668
Pt 0.333 0.667 0.175
Pt 0.333 0.667 0.825

# 4
# Pr2In2Ni3Pt
Simulated X-ray powder pattern, Cu Kα (weighted mean of Kα1 and Kα2). Input: a crystal structure in OQMD, relaxed with PBE.
Neutral-atom scattering factors, no anomalous dispersion.

Largest 10 diffraction maxima, by angle, 10° ≤ 2θ ≤ 80°:
2theta	I (rel.)
22.76	116
24.80	174
30.17	484
37.57	991
39.96	1000
56.01	307
57.58	116
66.17	165
71.00	297
72.58	166

Crystal structure
Cell: 4.512 4.512 9.087 Å, 90.00 90.00 120.00°
Atoms (fractional coordinates):
Pr 0.000 0.000 0.000
Pr 0.333 0.667 0.508
In 0.667 0.333 0.266
In 0.667 0.333 0.751
Ni 0.000 0.000 0.334
Ni 0.000 0.000 0.682
Ni 0.333 0.667 0.820
Pt 0.333 0.667 0.171

# 5
# Pr4InSi4Ni2
Simulated X-ray powder pattern, Cu Kα (weighted mean of Kα1 and Kα2). Input: a crystal structure in OQMD, relaxed with PBE.
Neutral-atom scattering factors, no anomalous dispersion.

Largest 10 diffraction maxima, by angle, 10° ≤ 2θ ≤ 80°:
2theta	I (rel.)
27.24	323
32.47	288
32.63	666
33.77	1000
35.20	274
35.43	319
36.25	331
36.96	241
39.44	237
42.05	406

Crystal structure
Cell: 8.272 8.272 7.221 Å, 107.70 107.70 30.11°
Atoms (fractional coordinates):
Pr 0.089 0.089 0.377
Pr 0.156 0.156 0.939
Pr 0.844 0.844 0.061
Pr 0.911 0.911 0.623
In 0.500 0.500 0.000
Si 0.282 0.282 0.694
Si 0.437 0.437 0.351
Si 0.563 0.563 0.649
Si 0.718 0.718 0.306
Ni 0.289 0.289 0.355
Ni 0.711 0.711 0.645

# 6
# PrSm2In2Ni4
Simulated X-ray powder pattern, Cu Kα (weighted mean of Kα1 and Kα2). Input: a crystal structure in OQMD, relaxed with PBE.
Neutral-atom scattering factors, no anomalous dispersion.

Largest 10 diffraction maxima, by angle, 10° ≤ 2θ ≤ 80°:
2theta	I (rel.)
24.99	281
29.01	350
30.11	646
33.83	1000
34.92	418
36.44	348
38.61	389
39.85	703
41.33	606
41.66	284

Crystal structure
Cell: 5.478 5.478 8.500 Å, 95.34 95.34 47.00°
Atoms (fractional coordinates):
Pr 0.000 0.000 0.000
Sm 0.373 0.373 0.617
Sm 0.627 0.627 0.383
In 0.323 0.323 0.223
In 0.677 0.677 0.777
Ni 0.078 0.078 0.624
Ni 0.267 0.267 0.915
Ni 0.733 0.733 0.085
Ni 0.922 0.922 0.376